# 1
Calculated powder diffraction line list of Tb5PrY2Sc for a wavelength of 1.5418 Å, from a DFT-relaxed cell (PBE, Alexandria).

Largest 10 diffraction maxima, in order of rising 2θ, 2θ = 15–90°:
hkl 1 3 2, 26.97°, rel. 186; hkl 0 6 1, 28.41°, rel. 209; hkl 1 1 3, 30.57°, rel. 405; hkl 2 0 0, 31.86°, rel. 468; hkl 1 5 2, 32.58°, rel. 1000; hkl 2 6 1, 43.21°, rel. 133; hkl 0 6 5, 51.86°, rel. 133; hkl 3 5 2, 57.22°, rel. 246; hkl 1 11 3, 60.26°, rel. 137; hkl 2 6 5, 62.17°, rel. 141

Atomic structure:
Cell lengths 5.6173, 19.7658, 10.4339 Å; angles 90.00, 90.00, 90.00 degrees
Space group Cmc2_1 (No. 36)
One atom of each set of equivalent atoms:
Tb (0.0000, 0.0183, 0.0000) (multiplicity 4)
Tb (0.0000, 0.1230, 0.2804) (multiplicity 4)
Tb (0.0000, 0.2022, 0.9657) (multiplicity 4)
Tb (0.0000, 0.2220, 0.5817) (multiplicity 4)
Tb (0.0000, 0.4803, 0.2808) (multiplicity 4)
Pr (0.0000, 0.0861, 0.7159) (multiplicity 4)
Y (0.0000, 0.3863, 0.9944) (multiplicity 4)
Y (0.0000, 0.3883, 0.5760) (multiplicity 4)
Sc (0.0000, 0.3030, 0.2748) (multiplicity 4)


# 2
Calculated powder diffraction line list of Ba2Cd6InGa for a wavelength of 1.5418 Å, from a DFT-relaxed cell (PBE, Alexandria).

Largest 10 diffraction maxima, in order of rising 2θ, 2θ = 15–90°:
hkl 2 0 0, 22.46°, rel. 246; hkl 1 2 1, 24.27°, rel. 188; hkl 2 2 0, 29.06°, rel. 639; hkl 0 2 2, 29.28°, rel. 1000; hkl 1 2 2, 31.43°, rel. 325; hkl 2 0 2, 32.18°, rel. 272; hkl 2 1 2, 33.50°, rel. 318; hkl 0 4 0, 36.87°, rel. 575; hkl 3 1 1, 37.15°, rel. 871; hkl 4 0 0, 45.80°, rel. 413

Atomic structure:
Cell lengths 7.9171, 9.7512, 7.8212 Å; angles 90.00, 90.00, 90.00 degrees
Space group Pmmn (No. 59, origin choice 2)
One atom of each set of equivalent atoms:
Ba (0.2500, 0.0228, 0.2200) (multiplicity 4)
Cd (0.0605, 0.2500, 0.8684) (multiplicity 4)
Cd (0.0741, 0.7500, 0.5240) (multiplicity 4)
Cd (0.2500, 0.9998, 0.7088) (multiplicity 4)
In (0.2500, 0.7500, 0.9114) (multiplicity 2)
Ga (0.2500, 0.2500, 0.5371) (multiplicity 2)


# 3
Calculated powder diffraction line list of Tm8Ag3Sb2 for a wavelength of 1.5418 Å, from a DFT-relaxed cell (PBE, Alexandria).

Largest 10 diffraction maxima, in order of rising 2θ, 2θ = 15–90°:
hkl 2 2 -1, 28.80°, rel. 911; hkl 2 2 1, 28.97°, rel. 579; hkl 2 0 -2, 31.73°, rel. 577; hkl 2 0 2, 32.03°, rel. 1000; hkl 5 1 0, 32.83°, rel. 979; hkl 4 2 -1, 36.03°, rel. 792; hkl 4 2 1, 36.31°, rel. 402; hkl 1 3 1, 36.36°, rel. 980; hkl 3 3 1, 40.62°, rel. 365; hkl 5 5 0, 65.00°, rel. 367

Atomic structure:
Cell lengths 14.4518, 8.2639, 6.0913 Å; angles 90.00, 90.76, 90.00 degrees
Space group C2/m (No. 12)
One atom of each set of equivalent atoms:
Tm (0.0888, 0.0000, 0.3533) (multiplicity 4)
Tm (0.1149, 0.2043, 0.8518) (multiplicity 8)
Tm (0.1816, 0.5000, 0.4080) (multiplicity 4)
Ag (0.0000, 0.3263, 0.5000) (multiplicity 4)
Ag (0.0000, 0.5000, 0.0000) (multiplicity 2)
Sb (0.2343, 0.5000, 0.9193) (multiplicity 4)


# 4
Calculated powder diffraction line list of LaPr2Dy5Sc for a wavelength of 1.5418 Å, from a DFT-relaxed cell (PBE, Alexandria).

Largest 10 diffraction maxima, in order of rising 2θ, 2θ = 15–90°:
hkl 2 1 3, 28.69°, rel. 736; hkl 2 2 0, 29.03°, rel. 506; hkl 2 0 4, 30.84°, rel. 1000; hkl 3 1 0, 32.55°, rel. 305; hkl 0 0 6, 34.59°, rel. 151; hkl 3 2 1, 37.73°, rel. 214; hkl 4 1 1, 43.25°, rel. 217; hkl 4 1 3, 46.47°, rel. 182; hkl 4 2 4, 52.61°, rel. 178; hkl 5 1 4, 59.13°, rel. 143

Atomic structure:
Cell lengths 8.6993, 8.6993, 15.5558 Å; angles 90.00, 90.00, 90.00 degrees
Space group I4/mcm (No. 140)
One atom of each set of equivalent atoms:
La (0.0000, 0.0000, 0.2500) (multiplicity 4)
Pr (0.1199, 0.3801, 0.0000) (multiplicity 8)
Dy (0.0000, 0.0000, 0.0000) (multiplicity 4)
Dy (0.2058, 0.2942, 0.3600) (multiplicity 16)
Sc (0.0000, 0.5000, 0.2500) (multiplicity 4)


# 5
Calculated powder diffraction line list of La5Tl2Bi for a wavelength of 1.5418 Å, from a DFT-relaxed cell (PBE, Alexandria).

Largest 10 diffraction maxima, in order of rising 2θ, 2θ = 15–90°:
hkl 2 2 0, 28.63°, rel. 157; hkl 0 4 1, 30.05°, rel. 1000; hkl 2 1 1, 31.09°, rel. 670; hkl 2 3 0, 32.01°, rel. 213; hkl 0 0 2, 32.51°, rel. 485; hkl 2 2 1, 33.01°, rel. 291; hkl 2 5 0, 41.17°, rel. 137; hkl 2 3 2, 46.27°, rel. 154; hkl 0 4 3, 56.48°, rel. 174; hkl 2 1 3, 57.11°, rel. 165

Atomic structure:
Cell lengths 6.9481, 14.1321, 5.5086 Å; angles 90.00, 90.00, 90.00 degrees
Space group Pbam (No. 55)
One atom of each set of equivalent atoms:
La (0.0000, 0.0000, 0.0000) (multiplicity 2)
La (0.1290, 0.3872, 0.5000) (multiplicity 4)
La (0.1664, 0.7283, 0.0000) (multiplicity 4)
Tl (0.1000, 0.1462, 0.5000) (multiplicity 4)
Bi (0.0000, 0.5000, 0.0000) (multiplicity 2)


# 6
Calculated powder diffraction line list of Pr2Bi2O for a wavelength of 1.5418 Å, from a DFT-relaxed cell (PBE, Alexandria).

Largest 10 diffraction maxima, in order of rising 2θ, 2θ = 15–90°:
hkl 1 3 0, 26.42°, rel. 730; hkl 1 3 1, 28.57°, rel. 1000; hkl 0 4 2, 30.37°, rel. 346; hkl 1 1 2, 30.68°, rel. 567; hkl 0 6 1, 33.89°, rel. 533; hkl 0 2 3, 34.22°, rel. 497; hkl 1 3 2, 34.29°, rel. 435; hkl 1 5 1, 35.86°, rel. 384; hkl 1 1 3, 39.35°, rel. 334; hkl 2 0 0, 42.70°, rel. 392

Atomic structure:
Cell lengths 4.2346, 16.7501, 8.2768 Å; angles 90.00, 90.00, 90.00 degrees
Space group Cmc2_1 (No. 36)
One atom of each set of equivalent atoms:
Pr (0.0000, 0.0370, 0.0000) (multiplicity 4)
Pr (0.0000, 0.3582, 0.8293) (multiplicity 4)
Bi (0.0000, 0.2944, 0.4537) (multiplicity 4)
Bi (0.0000, 0.4229, 0.2006) (multiplicity 4)
O (0.0000, 0.0838, 0.2889) (multiplicity 4)


# 7
Calculated powder diffraction line list of LaUPa2As4 for a wavelength of 1.5418 Å, from a DFT-relaxed cell (PBE, Alexandria).

Largest 10 diffraction maxima, in order of rising 2θ, 2θ = 15–90°:
hkl 1 1 2, 26.26°, rel. 381; hkl 2 0 0, 30.42°, rel. 1000; hkl 2 2 0, 43.56°, rel. 756; hkl 1 1 6, 51.58°, rel. 196; hkl 2 2 4, 54.05°, rel. 269; hkl 4 0 0, 63.29°, rel. 126; hkl 3 1 6, 69.75°, rel. 83; hkl 4 2 0, 71.83°, rel. 349; hkl 4 2 4, 79.97°, rel. 264; hkl 1 1 10, 85.94°, rel. 68

Atomic structure:
Cell lengths 5.8753, 5.8753, 11.7620 Å; angles 90.00, 90.00, 90.00 degrees
Space group I-4m2 (No. 119)
One atom of each set of equivalent atoms:
La (0.0000, 0.0000, 0.0000) (multiplicity 2)
U (0.0000, 0.5000, 0.7500) (multiplicity 2)
Pa (0.0000, 0.0000, 0.5000) (multiplicity 2)
Pa (0.0000, 0.5000, 0.2500) (multiplicity 2)
As (0.0000, 0.0000, 0.2559) (multiplicity 4)
As (0.0000, 0.5000, 0.0006) (multiplicity 4)


# 8
Calculated powder diffraction line list of NaNi2Os2 for a wavelength of 1.5418 Å, from a DFT-relaxed cell (PBE, Alexandria).

Largest 10 diffraction maxima, in order of rising 2θ, 2θ = 15–90°:
hkl 1 1 0, 16.44°, rel. 1000; hkl 2 1 0, 26.13°, rel. 408; hkl 0 0 1, 35.47°, rel. 133; hkl 3 1 0, 37.29°, rel. 411; hkl 3 2 0, 42.75°, rel. 439; hkl 2 1 1, 44.59°, rel. 943; hkl 4 0 0, 47.70°, rel. 234; hkl 3 2 1, 56.73°, rel. 295; hkl 4 0 1, 60.84°, rel. 158; hkl 5 1 1, 73.57°, rel. 155

Atomic structure:
Cell lengths 7.6257, 7.6257, 2.5305 Å; angles 90.00, 90.00, 90.00 degrees
Space group P4/mbm (No. 127)
One atom of each set of equivalent atoms:
Na (0.0000, 0.0000, 0.0000) (multiplicity 2)
Ni (0.1771, 0.3229, 0.5000) (multiplicity 4)
Os (0.1187, 0.6187, 0.0000) (multiplicity 4)


# 9
Calculated powder diffraction line list of Er6Co2Pd for a wavelength of 1.5418 Å, from a DFT-relaxed cell (PBE, Alexandria).

Largest 10 diffraction maxima, in order of rising 2θ, 2θ = 15–90°:
hkl 0 2 2, 26.62°, rel. 220; hkl 1 0 3, 29.48°, rel. 251; hkl 1 3 0, 30.35°, rel. 369; hkl 3 0 1, 30.56°, rel. 296; hkl 2 2 2, 33.06°, rel. 1000; hkl 1 2 3, 35.33°, rel. 374; hkl 3 1 2, 36.01°, rel. 810; hkl 3 2 1, 36.23°, rel. 457; hkl 0 4 0, 38.63°, rel. 247; hkl 3 5 2, 61.26°, rel. 425

Atomic structure:
Cell lengths 9.2220, 9.3234, 9.6234 Å; angles 90.00, 90.00, 90.00 degrees
Space group Immm (No. 71)
One atom of each set of equivalent atoms:
Er (0.0000, 0.1849, 0.1747) (multiplicity 8)
Er (0.1802, 0.2255, 0.5000) (multiplicity 8)
Er (0.1909, 0.5000, 0.2559) (multiplicity 8)
Co (0.0000, 0.0000, 0.3845) (multiplicity 4)
Co (0.1655, 0.0000, 0.0000) (multiplicity 4)
Pd (0.0000, 0.5000, 0.0000) (multiplicity 2)
Pd (0.0000, 0.5000, 0.5000) (multiplicity 2)


# 10
Calculated powder diffraction line list of Cs2NdUS6 for a wavelength of 1.5418 Å, from a DFT-relaxed cell (PBE, Alexandria).

Largest 10 diffraction maxima, in order of rising 2θ, 2θ = 15–90°:
hkl 1 1 0, 16.51°, rel. 117; hkl 2 0 0, 23.42°, rel. 1000; hkl 2 2 0, 33.37°, rel. 441; hkl 3 1 2, 41.17°, rel. 462; hkl 4 0 0, 47.91°, rel. 308; hkl 4 2 0, 53.99°, rel. 220; hkl 5 1 2, 64.97°, rel. 253; hkl 6 0 0, 75.03°, rel. 124; hkl 6 2 0, 79.87°, rel. 138; hkl 6 2 4, 89.37°, rel. 109

Atomic structure:
Cell lengths 7.5959, 7.5959, 10.7402 Å; angles 90.00, 90.00, 90.00 degrees
Space group P4/mnc (No. 128)
One atom of each set of equivalent atoms:
Cs (0.0000, 0.5000, 0.2500) (multiplicity 4)
Nd (0.0000, 0.0000, 0.0000) (multiplicity 2)
U (0.0000, 0.0000, 0.5000) (multiplicity 2)
S (0.0000, 0.0000, 0.2625) (multiplicity 4)
S (0.2368, 0.2379, 0.5000) (multiplicity 8)


# 11
Calculated powder diffraction line list of Dy2Mg3Tl2 for a wavelength of 1.5418 Å, from a DFT-relaxed cell (PBE, Alexandria).

Largest 10 diffraction maxima, in order of rising 2θ, 2θ = 15–90°:
hkl 1 5 0, 27.44°, rel. 118; hkl 0 4 1, 30.12°, rel. 173; hkl 1 1 1, 31.88°, rel. 262; hkl 1 7 0, 33.93°, rel. 1000; hkl 2 0 0, 37.69°, rel. 452; hkl 1 9 0, 41.22°, rel. 101; hkl 0 10 1, 48.55°, rel. 123; hkl 2 10 1, 63.02°, rel. 114; hkl 1 7 2, 63.63°, rel. 168; hkl 3 7 0, 65.61°, rel. 151

Atomic structure:
Cell lengths 4.7769, 22.1766, 3.5129 Å; angles 90.00, 90.00, 90.00 degrees
Space group Cmmm (No. 65)
One atom of each set of equivalent atoms:
Dy (0.0000, 0.1550, 0.0000) (multiplicity 4)
Mg (0.0000, 0.0000, 0.0000) (multiplicity 2)
Mg (0.0000, 0.4310, 0.5000) (multiplicity 4)
Tl (0.0000, 0.2932, 0.5000) (multiplicity 4)


# 12
Calculated powder diffraction line list of Pu2Pa2Rh5 for a wavelength of 1.5418 Å, from a DFT-relaxed cell (PBE, Alexandria).

Largest 10 diffraction maxima, in order of rising 2θ, 2θ = 15–90°:
hkl 1 4 1, 29.88°, rel. 348; hkl 0 4 2, 32.94°, rel. 718; hkl 2 3 1, 37.68°, rel. 457; hkl 2 4 0, 38.76°, rel. 597; hkl 1 6 1, 39.38°, rel. 266; hkl 2 0 2, 39.67°, rel. 1000; hkl 0 3 3, 40.06°, rel. 623; hkl 1 5 2, 40.48°, rel. 305; hkl 1 8 1, 50.13°, rel. 444; hkl 2 7 3, 64.39°, rel. 279

Atomic structure:
Cell lengths 5.7294, 15.8885, 7.4594 Å; angles 90.00, 90.00, 90.00 degrees
Space group Imma (No. 74)
One atom of each set of equivalent atoms:
Pu (0.0000, 0.0625, 0.0758) (multiplicity 8)
Pa (0.0000, 0.0000, 0.5000) (multiplicity 4)
Pa (0.0000, 0.2500, 0.5693) (multiplicity 4)
Rh (0.0000, 0.2500, 0.9471) (multiplicity 4)
Rh (0.2500, 0.1141, 0.7500) (multiplicity 8)
Rh (0.2500, 0.1683, 0.2500) (multiplicity 8)